Entry 1:
# Na2MgAlF7
Theoretical powder diffractogram, Cu Ka. Input: a GGA-PBE-relaxed structure.

Structural model:
```
Na2MgAlF7
1.0
-3.5709 5.0627 3.7110
3.5709 -5.0627 3.7110
3.5709 5.0627 -3.7110
Na Mg Al F
4 2 2 14
direct
0.0000 0.0000 0.0000
0.5000 0.0000 0.0000
0.5000 0.0000 0.5000
0.5000 0.5000 0.5000
0.0000 0.0000 0.5000
0.0000 0.5000 0.0000
0.0000 0.5000 0.5000
0.5000 0.5000 0.0000
0.0438 0.2460 0.4275
0.0438 0.6163 0.7978
0.1133 0.8633 0.2500
0.3069 0.7208 0.5861
0.3185 0.2460 0.7022
0.3185 0.6163 0.0725
0.3653 0.2792 0.0861
0.6347 0.7208 0.9139
0.6815 0.3837 0.9275
0.6815 0.7540 0.2978
0.6931 0.2792 0.4139
0.8867 0.1367 0.7500
0.9562 0.3837 0.2022
0.9562 0.7540 0.5725
```

The 12 most intense peaks (10° ≤ 2θ ≤ 80°), in order of rising 2θ:
| d_spacing | 2θ/deg | Rel. int. |
| --- | --- | --- |
| 5.986 | 14.8 | 22.0 |
| 5.146 | 17.2 | 31.8 |
| 2.993 | 29.9 | 95.9 |
| 2.918 | 30.6 | 83.6 |
| 2.403 | 37.4 | 32.1 |
| 2.329 | 38.7 | 51.3 |
| 2.269 | 39.7 | 38.2 |
| 1.995 | 45.5 | 22.8 |
| 1.966 | 46.2 | 21.7 |
| 1.805 | 50.6 | 100.0 |
| 1.785 | 51.2 | 25.1 |
| 1.566 | 59.0 | 47.6 |

Entry 2:
# ErSc5Ni4
Theoretical powder diffractogram, Cu Ka. Input: a GGA-PBE-relaxed structure.

Structural model:
```
ErSc5Ni4
1.0
3.1971 0.0000 0.0000
0.0000 3.1971 0.0000
0.0000 0.0000 17.7739
Er Sc Ni
1 5 4
direct
0.0000 0.0000 0.0000
0.5000 0.5000 0.1474
0.5000 0.5000 0.3225
0.5000 0.5000 0.5000
0.5000 0.5000 0.6775
0.5000 0.5000 0.8526
0.0000 0.0000 0.2338
0.0000 0.0000 0.4109
0.0000 0.0000 0.5891
0.0000 0.0000 0.7662
```

The 12 most intense peaks (10° ≤ 2θ ≤ 80°), in order of rising 2θ:
| d_spacing | 2θ/deg | Rel. int. |
| --- | --- | --- |
| 4.443 | 20.0 | 12.7 |
| 3.555 | 25.1 | 17.6 |
| 3.197 | 27.9 | 20.3 |
| 3.008 | 29.7 | 14.4 |
| 2.814 | 31.8 | 23.6 |
| 2.595 | 34.6 | 38.4 |
| 2.377 | 37.8 | 100.0 |
| 2.261 | 39.9 | 81.4 |
| 2.173 | 41.6 | 23.0 |
| 1.908 | 47.7 | 12.8 |
| 1.599 | 57.7 | 25.9 |
| 1.327 | 71.1 | 28.6 |

Entry 3:
# Pm12AlGe6
Theoretical powder diffractogram, Cu Ka. Input: a GGA-PBE-relaxed structure.

Structural model:
```
Pm12AlGe6
1.0
-5.1365 5.1365 5.1365
5.1365 -5.1365 5.1365
5.1365 5.1365 -5.1365
Pm Al Ge
12 1 6
direct
0.1061 0.8132 0.2929
0.1868 0.2929 0.4797
0.1868 0.7071 0.8939
0.2929 0.1061 0.8132
0.2929 0.4797 0.1868
0.4797 0.1868 0.2929
0.5203 0.8132 0.7071
0.7071 0.5203 0.8132
0.7071 0.8939 0.1868
0.8132 0.2929 0.1061
0.8132 0.7071 0.5203
0.8939 0.1868 0.7071
0.0000 0.0000 0.0000
0.1208 0.6208 0.5000
0.3792 0.5000 0.8792
0.5000 0.1208 0.6208
0.5000 0.8792 0.3792
0.6208 0.5000 0.1208
0.8792 0.3792 0.5000
```

The 12 most intense peaks (10° ≤ 2θ ≤ 80°), in order of rising 2θ:
| d_spacing | 2θ/deg | Rel. int. |
| --- | --- | --- |
| 3.632 | 24.5 | 11.4 |
| 3.249 | 27.5 | 27.0 |
| 2.966 | 30.1 | 41.3 |
| 2.746 | 32.6 | 100.0 |
| 2.568 | 34.9 | 18.1 |
| 2.421 | 37.1 | 14.7 |
| 2.015 | 45.0 | 17.4 |
| 1.762 | 51.9 | 35.0 |
| 1.712 | 53.5 | 13.2 |
| 1.666 | 55.1 | 29.9 |
| 1.453 | 64.1 | 17.9 |
| 1.211 | 79.1 | 11.5 |